PaGa6Pd4: simulated X-ray diffraction stick pattern (λ = 1.5418 Å (Cu Kα)), based on a DFT-relaxed cell (PBE, Alexandria).
No peak broadening, texture or thermal motion is included.

Atomic structure:
abc: 7.3878 7.3878 4.0033
angles: 90.00 90.00 120.00
Space group P-6m2 (No. 187)
One atom of each set of equivalent atoms:
Pa 0.0000 0.0000 0.0000 [1 per cell]
Ga 0.1970 0.3939 0.5000 [3 per cell]
Ga 0.5338 0.0677 0.0000 [3 per cell]
Pd 0.3333 0.6667 0.0000 [1 per cell]
Pd 0.3991 0.1996 0.5000 [3 per cell]

Top 8 peaks for 10 to 90 degrees two-theta, sorted by position:
2θ/deg	I (rel.)	(hkl)
32.99	59	1 1 1
35.94	100	2 0 1
37.18	52	2 1 0
45.31	30	0 0 2
48.36	34	3 0 1
49.34	33	2 2 0
60.00	26	2 1 2
69.21	24	2 2 2

Pa2Ga3Pt: simulated X-ray diffraction stick pattern (λ = 1.5418 Å (Cu Kα)), based on a DFT-relaxed cell (PBE, Alexandria).
No peak broadening, texture or thermal motion is included.

Atomic structure:
abc: 6.522 9.147 15.886
angles: 90.00 90.00 90.00
Space group Fmmm (No. 69)
One atom of each set of equivalent atoms:
Pa 0.239 0.000 0.000 [8 per cell]
Pa 0.250 0.250 0.250 [8 per cell]
Ga 0.000 0.000 0.333 [8 per cell]
Ga 0.000 0.249 0.417 [16 per cell]
Pt 0.000 0.000 0.166 [8 per cell]

Top 8 peaks for 10 to 90 degrees two-theta, sorted by position:
2θ/deg	I (rel.)	(hkl)
22.42	22	0 2 2
35.64	100	2 2 2
39.35	66	0 4 0
54.13	31	2 4 4
68.90	20	2 2 10
69.03	10	2 6 2
70.96	23	4 4 0
71.40	8	0 6 6

Pa2Ga3Pt4: simulated X-ray diffraction stick pattern (λ = 1.5418 Å (Cu Kα)), based on a DFT-relaxed cell (PBE, Alexandria).
No peak broadening, texture or thermal motion is included.

Atomic structure:
abc: 5.687 15.562 7.489
angles: 90.00 90.00 90.00
Space group Cmce (No. 64)
One atom of each set of equivalent atoms:
Pa 0.000 0.108 0.094 [8 per cell]
Ga 0.000 0.000 0.500 [4 per cell]
Ga 0.250 0.228 0.750 [8 per cell]
Pt 0.000 0.174 0.466 [8 per cell]
Pt 0.250 0.059 0.750 [8 per cell]

Top 8 peaks for 10 to 90 degrees two-theta, sorted by position:
2θ/deg	I (rel.)	(hkl)
33.47	40	1 3 2
34.98	97	1 5 1
35.69	71	2 2 1
36.67	31	0 6 1
37.85	68	0 2 3
39.24	28	2 4 0
39.81	100	2 0 2
50.36	24	1 7 2

Pa2GaPt5: simulated X-ray diffraction stick pattern (λ = 1.5418 Å (Cu Kα)), based on a DFT-relaxed cell (PBE, Alexandria).
No peak broadening, texture or thermal motion is included.

Atomic structure:
abc: 6.277 6.277 7.717
angles: 90.00 90.00 90.00
Space group I4mm (No. 107)
One atom of each set of equivalent atoms:
Pa 0.000 0.500 0.000 [4 per cell]
Ga 0.000 0.000 0.371 [2 per cell]
Pt 0.000 0.000 0.022 [2 per cell]
Pt 0.222 0.222 0.743 [8 per cell]

Top 8 peaks for 10 to 90 degrees two-theta, sorted by position:
2θ/deg	I (rel.)	(hkl)
33.98	9	2 1 1
36.92	100	2 0 2
40.66	41	2 2 0
47.10	12	0 0 4
58.85	12	4 0 0
63.94	17	2 2 4
71.53	23	4 2 2
80.74	10	2 0 6